Diffraction record for Pr2Fe2Se2O3. The PXRD pattern is computed, not measured: it uses a GGA+U-relaxed structure and λ = 1.5418 Å (Cu Kα).
Kinematic intensities with the Lorentz-polarization factor, no thermal factor.

Cell lengths 4.114, 4.114, 18.941 Å; angles 90.00, 90.00, 90.00 degrees
Space group I4/mmm (No. 139)
Unique sites:
Pr 0.000 0.000 0.187
Fe 0.000 0.500 0.000
Se 0.000 0.000 0.401
O 0.000 0.000 0.000
O 0.000 0.500 0.250

Principal peaks in the range 10° ≤ 2θ ≤ 90°, in order of rising 2θ:
(1 0 3), 2θ = 25.85°, I = 29
(1 1 0), 2θ = 30.73°, I = 22
(1 0 5), 2θ = 32.13°, I = 100
(1 1 4), 2θ = 36.24°, I = 21
(2 0 0), 2θ = 44.02°, I = 32
(1 1 8), 2θ = 49.65°, I = 17
(2 1 5), 2θ = 55.52°, I = 33
(2 2 0), 2θ = 64.01°, I = 10
(2 0 10), 2θ = 67.18°, I = 10
(3 0 5), 2θ = 73.44°, I = 11